No. 1
The following is a computed PXRD pattern of Rb3H6W. It was derived from a structure optimized by DFT (GGA-PBE), using Cu Kα X-rays.
Neutral-atom scattering factors, no anomalous dispersion.

Cell and atoms:
```
data_Rb3H6W
_symmetry_space_group_name_H-M 'F m -3 m'
_symmetry_Int_Tables_number 225
_symmetry_space_group_name_Hall '-F 4 2 3'
_cell_length_a 9.004
_cell_length_b 9.004
_cell_length_c 9.004
_cell_angle_alpha 90.00
_cell_angle_beta 90.00
_cell_angle_gamma 90.00
loop_
_atom_site_label
_atom_site_fract_x
_atom_site_fract_y
_atom_site_fract_z
_atom_site_occupancy
Rb1 0.000 0.000 0.000 1
Rb2 0.250 0.250 0.250 1
H1 0.000 0.000 0.295 1
W1 0.000 0.000 0.500 1
```

Main lines, by intensity (2θ from 10° to 80°):
2theta	Rel. int.	(hkl)
28.03	100.0	2 2 0
49.60	40.8	4 2 2
79.69	20.8	6 4 2
40.05	19.8	4 0 0
65.57	17.9	6 2 0
57.94	13.1	4 4 0
17.06	10.3	1 1 1
32.99	5.9	3 1 1
19.72	5.7	2 0 0
72.76	4.4	4 4 4



No. 2
The following is a computed PXRD pattern of Rb2ZnH2. It was derived from a structure optimized by DFT (GGA-PBE), using Cu Kα X-rays.
Neutral-atom scattering factors, no anomalous dispersion.

Cell and atoms:
```
data_Rb2ZnH2
_symmetry_space_group_name_H-M 'I 4/m m m'
_symmetry_Int_Tables_number 139
_symmetry_space_group_name_Hall '-I 4 2'
_cell_length_a 5.315
_cell_length_b 5.315
_cell_length_c 11.895
_cell_angle_alpha 90.00
_cell_angle_beta 90.00
_cell_angle_gamma 90.00
loop_
_atom_site_label
_atom_site_fract_x
_atom_site_fract_y
_atom_site_fract_z
_atom_site_occupancy
Rb1 0.000 0.000 0.176 1
Zn1 0.000 0.000 0.500 1
H1 0.000 0.500 0.250 1
```

Main lines, by intensity (2θ from 10° to 80°):
2theta	Rel. int.	(hkl)
28.08	100.0	1 0 3
23.67	75.1	1 1 0
44.44	54.9	2 1 3
33.73	31.7	2 0 0
67.82	16.6	3 2 3
54.60	16.3	3 1 0
52.16	16.0	1 1 6
73.92	16.0	3 1 6
56.93	13.9	3 0 3
58.04	11.3	2 0 6



No. 3
The following is a computed PXRD pattern of Re8H. It was derived from a structure optimized by DFT (GGA-PBE), using Cu Kα X-rays.
Neutral-atom scattering factors, no anomalous dispersion.

Cell and atoms:
```
data_Re8H
_symmetry_space_group_name_H-M 'P -3 m 1'
_symmetry_Int_Tables_number 164
_symmetry_space_group_name_Hall '-P 3 2"'
_cell_length_a 5.5954
_cell_length_b 5.5954
_cell_length_c 4.4919
_cell_angle_alpha 90.00
_cell_angle_beta 90.00
_cell_angle_gamma 120.00
loop_
_atom_site_label
_atom_site_fract_x
_atom_site_fract_y
_atom_site_fract_z
_atom_site_occupancy
Re1 0.1693 0.3386 0.2410 1
Re2 0.3333 0.6667 0.7545 1
H1 0.0000 0.0000 0.5000 1
```

Main lines, by intensity (2θ from 10° to 80°):
2theta	Rel. int.	(hkl)
42.39	100.0	2 0 1
40.15	25.6	0 0 2
37.11	24.0	2 0 0
74.49	19.0	2 0 3
66.89	17.5	2 2 0
55.81	15.4	0 2 2
79.04	2.7	4 0 0



No. 4
The following is a computed PXRD pattern of ReHRh. It was derived from a structure optimized by DFT (GGA-PBE), using Cu Kα X-rays.
Neutral-atom scattering factors, no anomalous dispersion.

Cell and atoms:
```
data_ReHRh
_symmetry_space_group_name_H-M 'C m c m'
_symmetry_Int_Tables_number 63
_symmetry_space_group_name_Hall '-C 2c 2'
_cell_length_a 2.888
_cell_length_b 16.757
_cell_length_c 2.794
_cell_angle_alpha 90.00
_cell_angle_beta 90.00
_cell_angle_gamma 90.00
loop_
_atom_site_label
_atom_site_fract_x
_atom_site_fract_y
_atom_site_fract_z
_atom_site_occupancy
Re1 0.000 0.198 0.250 1
H1 0.000 0.122 0.750 1
Rh1 0.000 0.433 0.250 1
```

Main lines, by intensity (2θ from 10° to 80°):
2theta	Rel. int.	(hkl)
38.74	100.0	0 4 1
45.49	74.9	1 1 1
10.56	72.6	0 2 0
41.27	59.0	1 5 0
34.98	56.8	1 3 0
77.87	37.4	2 4 1
43.19	31.3	0 8 0
68.75	28.3	1 9 1
60.14	13.8	1 7 1
64.54	11.8	2 0 0



No. 5
The following is a computed PXRD pattern of ReHRu. It was derived from a structure optimized by DFT (GGA-PBE), using Cu Kα X-rays.
Neutral-atom scattering factors, no anomalous dispersion.

Cell and atoms:
```
data_ReHRu
_symmetry_space_group_name_H-M 'C m m e'
_symmetry_Int_Tables_number 67
_symmetry_space_group_name_Hall '-C 2a 2'
_cell_length_a 5.639
_cell_length_b 5.643
_cell_length_c 4.040
_cell_angle_alpha 90.00
_cell_angle_beta 90.00
_cell_angle_gamma 90.00
loop_
_atom_site_label
_atom_site_fract_x
_atom_site_fract_y
_atom_site_fract_z
_atom_site_occupancy
Re1 0.250 0.250 0.000 1
H1 0.000 0.250 0.266 1
Ru1 0.000 0.000 0.500 1
```

Main lines, by intensity (2θ from 10° to 80°):
2theta	Rel. int.	(hkl)
38.95	100.0	2 0 1
45.48	32.0	2 2 0
79.62	25.0	4 2 1
65.81	21.5	2 2 2
44.88	16.6	0 0 2
78.75	12.8	2 0 3
66.27	10.5	4 0 0
22.00	7.9	0 0 1
31.72	6.7	0 2 0
51.07	3.8	2 2 1



No. 6
The following is a computed PXRD pattern of ReSb2H5. It was derived from a structure optimized by DFT (GGA-PBE), using Cu Kα X-rays.
Neutral-atom scattering factors, no anomalous dispersion.

Cell and atoms:
```
data_ReSb2H5
_symmetry_space_group_name_H-M 'P 1'
_symmetry_Int_Tables_number 1
_cell_length_a 4.537
_cell_length_b 4.670
_cell_length_c 4.931
_cell_angle_alpha 90.20
_cell_angle_beta 92.42
_cell_angle_gamma 114.66
loop_
_symmetry_equiv_pos_as_xyz
'x,y,z'
loop_
_atom_site_label
_atom_site_fract_x
_atom_site_fract_y
_atom_site_fract_z
_atom_site_occupancy
Re1 0.000 0.000 0.000 1
Sb1 0.086 0.534 0.681 1
Sb2 0.655 0.373 0.182 1
H1 0.219 0.830 0.157 1
H2 0.287 0.090 0.761 1
H3 0.596 0.845 0.037 1
H4 0.762 0.905 0.706 1
H5 0.955 0.020 0.339 1
```

Main lines, by intensity (2θ from 10° to 80°):
2theta	Rel. int.	(hkl)
28.96	100.0	-1 1 1
18.01	43.0	0 0 1
27.42	41.8	0 1 -1
21.58	41.5	1 0 0
39.94	37.5	1 1 -1
38.79	31.6	1 -2 0
43.07	26.1	-1 1 2
41.99	20.9	0 1 -2
44.00	20.5	2 0 0
43.37	15.6	-2 1 1



No. 7
The following is a computed PXRD pattern of SrRe2H. It was derived from a structure optimized by DFT (GGA-PBE), using Cu Kα X-rays.
Neutral-atom scattering factors, no anomalous dispersion.

Cell and atoms:
```
data_SrRe2H
_symmetry_space_group_name_H-M 'I 41/a m d'
_symmetry_Int_Tables_number 141
_cell_length_a 5.736
_cell_length_b 5.736
_cell_length_c 8.133
_cell_angle_alpha 90.00
_cell_angle_beta 90.00
_cell_angle_gamma 90.00
loop_
_symmetry_equiv_pos_as_xyz
'x,y,z'
'-x,-y,-z'
'-y+1/4,x+3/4,z+1/4'
'y+1/4,-x+3/4,-z+1/4'
'-x+1/2,-y,z+1/2'
'x+1/2,y,-z+1/2'
'y+1/4,-x+1/4,z+3/4'
'-y+1/4,x+1/4,-z+3/4'
'x,-y,-z'
'-x,y,z'
'-y+1/4,-x+1/4,-z+3/4'
'y+1/4,x+1/4,z+3/4'
'-x+1/2,y,-z+1/2'
'x+1/2,-y,z+1/2'
'y+1/4,x+3/4,-z+1/4'
'-y+1/4,-x+3/4,z+1/4'
'x+1/2,y+1/2,z+1/2'
'-x+1/2,-y+1/2,-z+1/2'
'-y+3/4,x+1/4,z+3/4'
'y+3/4,-x+1/4,-z+3/4'
'-x,-y+1/2,z'
'x,y+1/2,-z'
'y+3/4,-x+3/4,z+1/4'
'-y+3/4,x+3/4,-z+1/4'
'x+1/2,-y+1/2,-z+1/2'
'-x+1/2,y+1/2,z+1/2'
'-y+3/4,-x+3/4,-z+1/4'
'y+3/4,x+3/4,z+1/4'
'-x,y+1/2,-z'
'x,-y+1/2,z'
'y+3/4,x+1/4,-z+3/4'
'-y+3/4,-x+1/4,z+3/4'
loop_
_atom_site_label
_atom_site_fract_x
_atom_site_fract_y
_atom_site_fract_z
_atom_site_occupancy
Sr1 0.000 0.250 0.375 1
Re1 0.000 0.000 0.000 1
H1 0.000 0.250 0.875 1
```

Main lines, by intensity (2θ from 10° to 80°):
2theta	Rel. int.	(hkl)
36.71	100.0	2 1 1
38.41	66.2	2 0 2
18.93	42.8	1 0 1
64.97	33.1	4 0 0
78.13	17.2	4 2 2
59.07	17.0	3 0 3
59.17	16.9	3 2 1
44.68	12.5	2 2 0
77.01	11.8	4 1 3
48.90	11.2	3 0 1



No. 8
The following is a computed PXRD pattern of ReTeH2. It was derived from a structure optimized by DFT (GGA-PBE), using Cu Kα X-rays.
Neutral-atom scattering factors, no anomalous dispersion.

Cell and atoms:
```
data_ReTeH2
_symmetry_space_group_name_H-M 'I 41/a m d'
_symmetry_Int_Tables_number 141
_cell_length_a 3.936
_cell_length_b 3.936
_cell_length_c 12.942
_cell_angle_alpha 90.00
_cell_angle_beta 90.00
_cell_angle_gamma 90.00
loop_
_symmetry_equiv_pos_as_xyz
'x,y,z'
'-x,-y,-z'
'-y+1/4,x+3/4,z+1/4'
'y+1/4,-x+3/4,-z+1/4'
'-x+1/2,-y,z+1/2'
'x+1/2,y,-z+1/2'
'y+1/4,-x+1/4,z+3/4'
'-y+1/4,x+1/4,-z+3/4'
'x,-y,-z'
'-x,y,z'
'-y+1/4,-x+1/4,-z+3/4'
'y+1/4,x+1/4,z+3/4'
'-x+1/2,y,-z+1/2'
'x+1/2,-y,z+1/2'
'y+1/4,x+3/4,-z+1/4'
'-y+1/4,-x+3/4,z+1/4'
'x+1/2,y+1/2,z+1/2'
'-x+1/2,-y+1/2,-z+1/2'
'-y+3/4,x+1/4,z+3/4'
'y+3/4,-x+1/4,-z+3/4'
'-x,-y+1/2,z'
'x,y+1/2,-z'
'y+3/4,-x+3/4,z+1/4'
'-y+3/4,x+3/4,-z+1/4'
'x+1/2,-y+1/2,-z+1/2'
'-x+1/2,y+1/2,z+1/2'
'-y+3/4,-x+3/4,-z+1/4'
'y+3/4,x+3/4,z+1/4'
'-x,y+1/2,-z'
'x,-y+1/2,z'
'y+3/4,x+1/4,-z+3/4'
'-y+3/4,-x+1/4,z+3/4'
loop_
_atom_site_label
_atom_site_fract_x
_atom_site_fract_y
_atom_site_fract_z
_atom_site_occupancy
Re1 0.000 0.250 0.375 1
Te1 0.000 0.250 0.875 1
H1 0.000 0.000 0.500 1
```

Main lines, by intensity (2θ from 10° to 80°):
2theta	Rel. int.	(hkl)
35.10	100.0	1 1 2
27.57	46.0	0 0 4
53.76	29.7	1 1 6
54.58	28.4	2 0 4
46.12	23.3	2 0 0
78.20	19.8	3 1 2
74.17	11.5	2 2 4
76.17	10.6	2 0 8
67.28	7.5	2 2 0
56.92	6.3	0 0 8



No. 9
The following is a computed PXRD pattern of V2ReH2. It was derived from a structure optimized by DFT (GGA-PBE), using Cu Kα X-rays.
Neutral-atom scattering factors, no anomalous dispersion.

Cell and atoms:
```
data_V2ReH2
_symmetry_space_group_name_H-M 'I 4/m m m'
_symmetry_Int_Tables_number 139
_symmetry_space_group_name_Hall '-I 4 2'
_cell_length_a 4.223
_cell_length_b 4.223
_cell_length_c 5.950
_cell_angle_alpha 90.00
_cell_angle_beta 90.00
_cell_angle_gamma 90.00
loop_
_atom_site_label
_atom_site_fract_x
_atom_site_fract_y
_atom_site_fract_z
_atom_site_occupancy
V1 0.000 0.500 0.250 1
Re1 0.000 0.000 0.000 1
H1 0.000 0.000 0.303 1
```

Main lines, by intensity (2θ from 10° to 80°):
2theta	Rel. int.	(hkl)
25.87	100.0	1 0 1
42.88	93.9	2 0 0
50.72	32.8	2 1 1
78.51	20.2	3 1 2
50.86	16.7	1 0 3
68.62	13.6	2 1 3
62.18	10.2	2 2 0
78.69	10.1	2 0 4
29.92	7.4	1 1 0
68.50	6.7	3 0 1



No. 10
The following is a computed PXRD pattern of Re3HW. It was derived from a structure optimized by DFT (GGA-PBE), using Cu Kα X-rays.
Neutral-atom scattering factors, no anomalous dispersion.

Cell and atoms:
```
data_Re3HW
_symmetry_space_group_name_H-M 'P m -3 m'
_symmetry_Int_Tables_number 221
_symmetry_space_group_name_Hall '-P 4 2 3'
_cell_length_a 3.984
_cell_length_b 3.984
_cell_length_c 3.984
_cell_angle_alpha 90.00
_cell_angle_beta 90.00
_cell_angle_gamma 90.00
loop_
_atom_site_label
_atom_site_fract_x
_atom_site_fract_y
_atom_site_fract_z
_atom_site_occupancy
Re1 0.000 0.000 0.500 1
H1 0.000 0.000 0.000 1
W1 0.500 0.500 0.500 1
```

Main lines, by intensity (2θ from 10° to 80°):
2theta	Rel. int.	(hkl)
39.16	100.0	1 1 1
45.53	49.5	2 0 0
79.84	39.0	3 1 1
66.36	32.5	2 2 0



No. 11
The following is a computed PXRD pattern of ZrRe2H. It was derived from a structure optimized by DFT (GGA-PBE), using Cu Kα X-rays.
Neutral-atom scattering factors, no anomalous dispersion.

Cell and atoms:
```
data_ZrRe2H
_symmetry_space_group_name_H-M 'I 41/a m d'
_symmetry_Int_Tables_number 141
_cell_length_a 5.489
_cell_length_b 5.489
_cell_length_c 7.741
_cell_angle_alpha 90.00
_cell_angle_beta 90.00
_cell_angle_gamma 90.00
loop_
_symmetry_equiv_pos_as_xyz
'x,y,z'
'-x,-y,-z'
'-y+1/4,x+3/4,z+1/4'
'y+1/4,-x+3/4,-z+1/4'
'-x+1/2,-y,z+1/2'
'x+1/2,y,-z+1/2'
'y+1/4,-x+1/4,z+3/4'
'-y+1/4,x+1/4,-z+3/4'
'x,-y,-z'
'-x,y,z'
'-y+1/4,-x+1/4,-z+3/4'
'y+1/4,x+1/4,z+3/4'
'-x+1/2,y,-z+1/2'
'x+1/2,-y,z+1/2'
'y+1/4,x+3/4,-z+1/4'
'-y+1/4,-x+3/4,z+1/4'
'x+1/2,y+1/2,z+1/2'
'-x+1/2,-y+1/2,-z+1/2'
'-y+3/4,x+1/4,z+3/4'
'y+3/4,-x+1/4,-z+3/4'
'-x,-y+1/2,z'
'x,y+1/2,-z'
'y+3/4,-x+3/4,z+1/4'
'-y+3/4,x+3/4,-z+1/4'
'x+1/2,-y+1/2,-z+1/2'
'-x+1/2,y+1/2,z+1/2'
'-y+3/4,-x+3/4,-z+1/4'
'y+3/4,x+3/4,z+1/4'
'-x,y+1/2,-z'
'x,-y+1/2,z'
'y+3/4,x+1/4,-z+3/4'
'-y+3/4,-x+1/4,z+3/4'
loop_
_atom_site_label
_atom_site_fract_x
_atom_site_fract_y
_atom_site_fract_z
_atom_site_occupancy
Zr1 0.000 0.250 0.375 1
Re1 0.000 0.000 0.000 1
H1 0.000 0.250 0.875 1
```

Main lines, by intensity (2θ from 10° to 80°):
2theta	Rel. int.	(hkl)
38.50	100.0	2 1 1
40.28	64.4	2 0 2
19.83	39.5	1 0 1
62.16	24.7	3 2 1
68.47	21.2	2 2 4
46.81	11.8	2 2 0
32.66	11.4	2 0 0
68.36	10.7	4 0 0
51.35	10.3	3 0 1
62.31	8.2	1 0 5



No. 12
The following is a computed PXRD pattern of H7Rh5. It was derived from a structure optimized by DFT (GGA-PBE), using Cu Kα X-rays.
Neutral-atom scattering factors, no anomalous dispersion.

Cell and atoms:
```
data_H7Rh5
_symmetry_space_group_name_H-M 'C 1 2/m 1'
_symmetry_Int_Tables_number 12
_cell_length_a 9.592
_cell_length_b 2.726
_cell_length_c 9.059
_cell_angle_alpha 90.00
_cell_angle_beta 108.82
_cell_angle_gamma 90.00
loop_
_symmetry_equiv_pos_as_xyz
'x,y,z'
'-x,-y,-z'
'-x,y,-z'
'x,-y,z'
'x+1/2,y+1/2,z'
'-x+1/2,-y+1/2,-z'
'-x+1/2,y+1/2,-z'
'x+1/2,-y+1/2,z'
loop_
_atom_site_label
_atom_site_fract_x
_atom_site_fract_y
_atom_site_fract_z
_atom_site_occupancy
H1 0.000 0.000 0.000 1
H2 0.058 0.500 0.716 1
H3 0.134 0.000 0.525 1
H4 0.189 0.000 0.263 1
Rh1 0.000 0.500 0.500 1
Rh2 0.125 0.500 0.972 1
Rh3 0.197 0.000 0.740 1
```

Main lines, by intensity (2θ from 10° to 80°):
2theta	Rel. int.	(hkl)
42.14	100.0	0 0 4
18.94	73.6	2 0 -1
43.64	39.9	3 1 -1
23.50	30.2	2 0 -2
10.32	30.2	0 0 1
44.46	30.1	4 0 1
33.05	27.5	2 0 2
34.98	20.9	1 1 -1
44.78	18.7	1 1 -3
38.68	18.5	1 1 -2